This entry pairs a crystal structure of RbHfAgSeS2 with its calculated XRD peak list. Radiation: Cu Kα X-rays. Structure: a DFT-relaxed cell (GGA-PBE, OQMD).
Lines closer than 0.1° are merged.

Most intense lines, 2θ = 15–90°, low angle first:
23.6 deg, I 51
25.7 deg, I 39
28.7 deg, I 63
31.1 deg, I 100
32.2 deg, I 79
35.0 deg, I 31
35.5 deg, I 72
39.0 deg, I 29
44.0 deg, I 42
46.5 deg, I 40

Structural model:
a = 8.4870 Å, b = 3.9098 Å, c = 9.9400 Å
α = 90.00°, β = 111.71°, γ = 90.00°
Atoms (fractional coordinates):
Rb 0.2380 0.2500 0.2116
Rb 0.7620 0.7500 0.7884
Hf 0.1810 0.7500 0.6554
Hf 0.8190 0.2500 0.3446
Ag 0.4237 0.2500 0.8931
Ag 0.5763 0.7500 0.1069
Se 0.3888 0.2500 0.6224
Se 0.6112 0.7500 0.3776
S 0.0311 0.7500 0.3719
S 0.2373 0.7500 0.9219
S 0.7627 0.2500 0.0781
S 0.9689 0.2500 0.6281

This entry pairs a crystal structure of TbPrB2Ir2N2 with its calculated XRD peak list. Radiation: Cu Kα X-rays. Structure: a DFT-relaxed cell (GGA-PBE, OQMD).
Lines closer than 0.1° are merged.

Most intense lines, 2θ = 15–90°, low angle first:
26.3 deg, I 37
33.5 deg, I 26
35.6 deg, I 100
35.7 deg, I 41
41.3 deg, I 66
48.0 deg, I 38
60.0 deg, I 25
61.3 deg, I 34
81.3 deg, I 34
84.9 deg, I 17

Structural model:
a = 3.7893 Å, b = 3.7893 Å, c = 7.5448 Å
α = 90.00°, β = 90.00°, γ = 90.00°
Atoms (fractional coordinates):
Tb 0.0000 0.0000 0.0000
Pr 0.5000 0.5000 0.3304
B 0.0000 0.0000 0.5110
B 0.5000 0.5000 0.8155
Ir 0.0000 0.5000 0.6668
Ir 0.5000 0.0000 0.6668
N 0.0000 0.0000 0.3113
N 0.5000 0.5000 0.0126

This entry pairs a crystal structure of La2MgHg3Pt2 with its calculated XRD peak list. Radiation: Cu Kα X-rays. Structure: a DFT-relaxed cell (GGA-PBE, OQMD).
Lines closer than 0.1° are merged.

Most intense lines, 2θ = 15–90°, low angle first:
17.4 deg, I 20
30.7 deg, I 100
35.3 deg, I 67
35.4 deg, I 19
35.8 deg, I 19
36.8 deg, I 22
38.8 deg, I 48
41.2 deg, I 18
41.8 deg, I 18
42.4 deg, I 38

Structural model:
a = 10.1949 Å, b = 4.2647 Å, c = 8.6391 Å
α = 90.00°, β = 90.21°, γ = 90.00°
Atoms (fractional coordinates):
La 0.0000 0.0000 0.0000
La 0.1341 0.0000 0.4864
La 0.5000 0.5000 0.0000
La 0.6341 0.5000 0.4864
Mg 0.4064 0.0000 0.6984
Mg 0.9064 0.5000 0.6984
Hg 0.1898 0.5000 0.7874
Hg 0.2100 0.5000 0.1953
Hg 0.4264 0.0000 0.2985
Hg 0.6898 0.0000 0.7874
Hg 0.7100 0.0000 0.1953
Hg 0.9264 0.5000 0.2985
Pt 0.2973 0.0000 0.9875
Pt 0.3481 0.5000 0.5094
Pt 0.7973 0.5000 0.9875
Pt 0.8481 0.0000 0.5094

This entry pairs a crystal structure of NiTe3S6 with its calculated XRD peak list. Radiation: Cu Kα X-rays. Structure: a DFT-relaxed cell (GGA-PBE, OQMD).
Lines closer than 0.1° are merged.

Most intense lines, 2θ = 15–90°, low angle first:
26.9 deg, I 66
30.8 deg, I 100
40.7 deg, I 94
47.4 deg, I 43
50.0 deg, I 16
53.8 deg, I 16
57.7 deg, I 15
64.3 deg, I 22
68.0 deg, I 13
83.6 deg, I 20

Structural model:
a = 7.0815 Å, b = 7.0815 Å, c = 7.0815 Å
α = 55.91°, β = 55.91°, γ = 55.91°
Atoms (fractional coordinates):
Ni 0.0000 0.0000 0.0000
Te 0.1789 0.1789 0.1789
Te 0.5000 0.5000 0.5000
Te 0.8211 0.8211 0.8211
S 0.0854 0.7743 0.3694
S 0.2257 0.6306 0.9146
S 0.3694 0.0854 0.7743
S 0.6306 0.9146 0.2257
S 0.7743 0.3694 0.0854
S 0.9146 0.2257 0.6306